(1)
The following is a theoretical X-ray diffraction stick pattern of KRb2NF. It was derived from the GGA-PBE geometry in Alexandria, using Cu Kα (weighted mean of Kα1 and Kα2).
Lines closer than 0.1° are merged.

Cell and atoms:
```
KRb2NF
1.0
5.216 0.000 0.000
0.000 5.216 0.000
0.000 0.000 9.993
K Rb N F
1 2 1 1
Direct
0.000 0.000 0.000 K
0.000 0.500 0.500 Rb
0.500 0.000 0.500 Rb
0.500 0.500 0.500 N
0.500 0.500 0.000 F
```

Most intense lines, 10° ≤ 2θ ≤ 90°, sorted by position:
2θ 17.75, rel. 800
2θ 25.75, rel. 1000
2θ 34.39, rel. 292
2θ 35.58, rel. 138
2θ 36.34, rel. 394
2θ 38.96, rel. 404
2θ 50.60, rel. 180
2θ 52.92, rel. 156
2θ 56.55, rel. 208
2θ 62.87, rel. 150



(2)
The following is a theoretical X-ray diffraction stick pattern of Tb2Pm2Pr4Tm. It was derived from the GGA-PBE geometry in Alexandria, using Cu Kα (weighted mean of Kα1 and Kα2).
Lines closer than 0.1° are merged.

Cell and atoms:
```
Tb2Pm2Pr4Tm
1.0
7.743 -2.582 0.000
7.743 2.582 0.000
-2.591 0.000 7.690
Tb Pm Pr Tm
2 2 4 1
Direct
0.166 0.166 0.000 Tb
0.834 0.834 0.000 Tb
0.388 0.388 0.329 Pm
0.612 0.612 0.671 Pm
0.055 0.055 0.330 Pr
0.278 0.278 0.670 Pr
0.722 0.722 0.330 Pr
0.945 0.945 0.670 Pr
0.500 0.500 0.000 Tm
```

Most intense lines, 10° ≤ 2θ ≤ 90°, sorted by position:
2θ 30.05, rel. 1000
2θ 34.75, rel. 340
2θ 35.01, rel. 166
2θ 49.97, rel. 122
2θ 50.16, rel. 241
2θ 59.42, rel. 290
2θ 59.75, rel. 142
2θ 62.47, rel. 124
2θ 81.26, rel. 59
2θ 81.53, rel. 88



(3)
The following is a theoretical X-ray diffraction stick pattern of CsRbSc2I8. It was derived from the GGA-PBE geometry in Alexandria, using Cu Kα (weighted mean of Kα1 and Kα2).
Lines closer than 0.1° are merged.

Cell and atoms:
```
CsRbSc2I8
1.0
4.103 2.369 11.070
-4.103 2.369 11.070
0.000 -4.738 11.070
Cs Rb Sc I
1 1 2 8
Direct
0.000 0.000 0.000 Cs
0.500 0.500 0.500 Rb
0.257 0.257 0.257 Sc
0.743 0.743 0.743 Sc
0.053 0.430 0.825 I
0.175 0.947 0.570 I
0.338 0.338 0.338 I
0.430 0.825 0.053 I
0.570 0.175 0.947 I
0.662 0.662 0.662 I
0.825 0.053 0.430 I
0.947 0.570 0.175 I
```

Most intense lines, 10° ≤ 2θ ≤ 90°, sorted by position:
2θ 23.12, rel. 1000
2θ 24.12, rel. 265
2θ 24.84, rel. 116
2θ 25.21, rel. 131
2θ 27.05, rel. 776
2θ 37.98, rel. 333
2θ 39.27, rel. 293
2θ 45.50, rel. 174
2θ 46.62, rel. 140
2θ 55.75, rel. 112



(4)
The following is a theoretical X-ray diffraction stick pattern of Rb4Cu3PbBr12. It was derived from the GGA-PBE geometry in Alexandria, using Cu Kα (weighted mean of Kα1 and Kα2).
Lines closer than 0.1° are merged.

Cell and atoms:
```
Rb4Cu3PbBr12
1.0
-5.390 5.390 5.390
5.390 -5.390 5.390
5.390 5.390 -5.390
Rb Cu Pb Br
4 3 1 12
Direct
0.000 0.000 0.500 Rb
0.000 0.500 0.000 Rb
0.500 0.000 0.000 Rb
0.500 0.500 0.500 Rb
0.000 0.500 0.500 Cu
0.500 0.000 0.500 Cu
0.500 0.500 0.000 Cu
0.000 0.000 0.000 Pb
0.000 0.270 0.270 Br
0.000 0.730 0.730 Br
0.250 0.500 0.750 Br
0.250 0.750 0.500 Br
0.270 0.000 0.270 Br
0.270 0.270 0.000 Br
0.500 0.250 0.750 Br
0.500 0.750 0.250 Br
0.730 0.000 0.730 Br
0.730 0.730 0.000 Br
0.750 0.250 0.500 Br
0.750 0.500 0.250 Br
```

Most intense lines, 10° ≤ 2θ ≤ 90°, sorted by position:
2θ 16.45, rel. 299
2θ 23.34, rel. 317
2θ 28.69, rel. 548
2θ 33.25, rel. 1000
2θ 37.31, rel. 142
2θ 47.73, rel. 692
2θ 56.64, rel. 209
2θ 59.40, rel. 231
2θ 79.54, rel. 287
2θ 88.97, rel. 219